# 1
This entry pairs a crystal structure of La5TbSm3 with its calculated XRD peak list. Radiation: Cu Ka. Structure: the PBE geometry in Alexandria.

Main lines, in order of rising 2θ (10 to 80 degrees two-theta):
- 3.429 Å, 25.98°, rel. 31
- 3.169 Å, 28.16°, rel. 72
- 3.098 Å, 28.81°, rel. 97
- 3.047 Å, 29.32°, rel. 43
- 3.012 Å, 29.66°, rel. 63
- 2.887 Å, 30.98°, rel. 100
- 2.766 Å, 32.37°, rel. 44
- 2.699 Å, 33.20°, rel. 70
- 2.580 Å, 34.77°, rel. 38
- 1.715 Å, 53.44°, rel. 37

Cell and atoms:
```
data_La5TbSm3
_chemical_formula_sum 'La20 Tb4 Sm12'
_space_group_name_H-M_alt 'C 1 2/c 1'
_space_group_IT_number 15
_space_group_name_Hall '-C 2yc'
_cell_length_a 20.604
_cell_length_b 6.426
_cell_length_c 11.838
_cell_angle_alpha 90.00
_cell_angle_beta 122.79
_cell_angle_gamma 90.00
loop_
_atom_site_label
_atom_site_type_symbol
_atom_site_fract_x
_atom_site_fract_y
_atom_site_fract_z
La1 La 0.000 0.083 0.250
La2 La 0.140 0.182 0.660
La3 La 0.179 0.313 0.335
Tb1 Tb 0.000 0.401 0.750
Sm1 Sm 0.000 0.500 0.000
Sm2 Sm 0.174 0.265 0.022
```

# 2
This entry pairs a crystal structure of Pr5Co2Ge with its calculated XRD peak list. Radiation: Cu Ka. Structure: the PBE geometry in Alexandria.

Main lines, in order of rising 2θ (10 to 80 degrees two-theta):
- 3.376 Å, 26.40°, rel. 32
- 2.891 Å, 30.94°, rel. 18
- 2.760 Å, 32.44°, rel. 100
- 2.560 Å, 35.06°, rel. 42
- 2.464 Å, 36.47°, rel. 46
- 1.871 Å, 48.65°, rel. 12
- 1.743 Å, 52.50°, rel. 20
- 1.696 Å, 54.07°, rel. 18
- 1.615 Å, 57.02°, rel. 21
- 1.398 Å, 66.94°, rel. 11

Cell and atoms:
```
data_Pr5Co2Ge
_chemical_formula_sum 'Pr20 Co8 Ge4'
_space_group_name_H-M_alt 'I 4/m c m'
_space_group_IT_number 140
_space_group_name_Hall '-I 4 2c'
_cell_length_a 7.790
_cell_length_b 7.790
_cell_length_c 13.582
_cell_angle_alpha 90.00
_cell_angle_beta 90.00
_cell_angle_gamma 90.00
loop_
_atom_site_label
_atom_site_type_symbol
_atom_site_fract_x
_atom_site_fract_y
_atom_site_fract_z
Pr1 Pr 0.000 0.000 0.000
Pr2 Pr 0.168 0.332 0.140
Co1 Co 0.114 0.386 0.500
Ge1 Ge 0.000 0.000 0.250
```

# 3
This entry pairs a crystal structure of Cu4Te5Cl4O12 with its calculated XRD peak list. Radiation: Cu Ka. Structure: the PBE geometry in Alexandria.

Main lines, in order of rising 2θ (10 to 80 degrees two-theta):
- 5.596 Å, 15.84°, rel. 30
- 4.099 Å, 21.68°, rel. 30
- 4.026 Å, 22.08°, rel. 22
- 3.666 Å, 24.28°, rel. 72
- 3.450 Å, 25.82°, rel. 24
- 2.733 Å, 32.77°, rel. 29
- 2.720 Å, 32.93°, rel. 100
- 2.574 Å, 34.86°, rel. 37
- 2.180 Å, 41.43°, rel. 20
- 1.877 Å, 48.51°, rel. 20

Cell and atoms:
```
data_Cu4Te5Cl4O12
_chemical_formula_sum 'Cu8 Te10 Cl8 O24'
_space_group_name_H-M_alt 'P 4/n'
_space_group_IT_number 85
_cell_length_a 11.593
_cell_length_b 11.593
_cell_length_c 6.390
_cell_angle_alpha 90.00
_cell_angle_beta 90.00
_cell_angle_gamma 90.00
loop_
_space_group_symop_operation_xyz
'x,y,z'
'-x,-y,-z'
'-y+1/2,x,z'
'y+1/2,-x,-z'
'-x+1/2,-y+1/2,z'
'x+1/2,y+1/2,-z'
'y,-x+1/2,z'
'-y,x+1/2,-z'
loop_
_atom_site_label
_atom_site_type_symbol
_atom_site_fract_x
_atom_site_fract_y
_atom_site_fract_z
Cu1 Cu 0.094 0.749 0.149
Te1 Te 0.020 0.681 0.627
Te2 Te 0.250 0.250 0.135
Cl1 Cl 0.053 0.378 0.828
O1 O 0.077 0.795 0.441
O2 O 0.097 0.209 0.272
O3 O 0.127 0.718 0.854
```

# 4
This entry pairs a crystal structure of Ac2PbO4F with its calculated XRD peak list. Radiation: Cu Ka. Structure: the PBE geometry in Alexandria.

Main lines, in order of rising 2θ (10 to 80 degrees two-theta):
- 3.487 Å, 25.54°, rel. 64
- 3.454 Å, 25.79°, rel. 87
- 3.429 Å, 25.99°, rel. 100
- 2.920 Å, 30.61°, rel. 83
- 2.814 Å, 31.80°, rel. 47
- 2.621 Å, 34.21°, rel. 79
- 2.348 Å, 38.34°, rel. 42
- 1.965 Å, 46.20°, rel. 43
- 1.809 Å, 50.45°, rel. 35
- 1.768 Å, 51.70°, rel. 34

Cell and atoms:
```
data_Ac2PbO4F
_chemical_formula_sum 'Ac4 Pb2 O8 F2'
_space_group_name_H-M_alt 'C 1 2/m 1'
_space_group_IT_number 12
_space_group_name_Hall '-C 2y'
_cell_length_a 11.256
_cell_length_b 3.703
_cell_length_c 7.086
_cell_angle_alpha 90.00
_cell_angle_beta 112.96
_cell_angle_gamma 90.00
loop_
_atom_site_label
_atom_site_type_symbol
_atom_site_fract_x
_atom_site_fract_y
_atom_site_fract_z
Ac1 Ac 0.187 0.000 0.199
Pb1 Pb 0.000 0.000 0.500
O1 O 0.130 0.500 0.438
O2 O 0.174 0.000 0.826
F1 F 0.000 0.500 0.000
```

# 5
This entry pairs a crystal structure of NaCa2GaSb with its calculated XRD peak list. Radiation: Cu Ka. Structure: the PBE geometry in Alexandria.

Main lines, in order of rising 2θ (10 to 80 degrees two-theta):
- 3.992 Å, 22.27°, rel. 33
- 3.840 Å, 23.16°, rel. 100
- 3.175 Å, 28.11°, rel. 54
- 2.823 Å, 31.70°, rel. 72
- 2.619 Å, 34.24°, rel. 29
- 2.274 Å, 39.63°, rel. 49
- 1.996 Å, 45.45°, rel. 26
- 1.920 Å, 47.35°, rel. 45
- 1.690 Å, 54.29°, rel. 15
- 1.587 Å, 58.11°, rel. 24

Cell and atoms:
```
data_NaCa2GaSb
_chemical_formula_sum 'Na1 Ca2 Ga1 Sb1'
_space_group_name_H-M_alt 'P 4/m m m'
_space_group_IT_number 123
_space_group_name_Hall '-P 4 2'
_cell_length_a 5.645
_cell_length_b 5.645
_cell_length_c 5.238
_cell_angle_alpha 90.00
_cell_angle_beta 90.00
_cell_angle_gamma 90.00
loop_
_atom_site_label
_atom_site_type_symbol
_atom_site_fract_x
_atom_site_fract_y
_atom_site_fract_z
Na1 Na 0.000 0.000 0.000
Ca1 Ca 0.000 0.500 0.500
Ga1 Ga 0.000 0.000 0.500
Sb1 Sb 0.500 0.500 0.000
```

# 6
This entry pairs a crystal structure of KGaSnS4 with its calculated XRD peak list. Radiation: Cu Ka. Structure: the PBE geometry in Alexandria.

Main lines, in order of rising 2θ (10 to 80 degrees two-theta):
- 7.132 Å, 12.41°, rel. 100
- 4.327 Å, 20.52°, rel. 73
- 3.778 Å, 23.55°, rel. 72
- 3.342 Å, 26.67°, rel. 93
- 2.419 Å, 37.16°, rel. 37
- 2.377 Å, 37.84°, rel. 31
- 2.164 Å, 41.75°, rel. 19
- 2.112 Å, 42.82°, rel. 83
- 1.613 Å, 57.10°, rel. 22
- 1.480 Å, 62.79°, rel. 19

Cell and atoms:
```
data_KGaSnS4
_chemical_formula_sum 'K4 Ga4 Sn4 S16'
_space_group_name_H-M_alt 'C m c m'
_space_group_IT_number 63
_space_group_name_Hall '-C 2c 2'
_cell_length_a 8.655
_cell_length_b 12.590
_cell_length_c 7.567
_cell_angle_alpha 90.00
_cell_angle_beta 90.00
_cell_angle_gamma 90.00
loop_
_atom_site_label
_atom_site_type_symbol
_atom_site_fract_x
_atom_site_fract_y
_atom_site_fract_z
K1 K 0.000 0.000 0.000
Ga1 Ga 0.000 0.371 0.250
Sn1 Sn 0.000 0.373 0.750
S1 S 0.000 0.259 0.008
S2 S 0.202 0.492 0.250
```